This entry pairs a crystal structure of Mg6SnPd3 with its theoretical powder diffraction line list. Radiation: Cu Kα, 1.54184 Å. Structure: a structure optimized by DFT (GGA-PBE).
Lines closer than 0.1° are merged.

Peak list (10 most intense, 2θ = 10–90°, in order of rising 2θ)
2theta	d [Å]	Rel. int.	index
17.97	4.936	100	1 1 1
26.51	3.362	47	2 2 1
26.77	3.330	97	1 3 1
30.76	2.907	45	3 1 1
36.17	2.483	46	2 4 1
36.40	2.468	51	2 2 2
39.70	2.270	53	3 1 2
40.25	2.241	46	0 4 2
40.80	2.212	61	4 2 1
44.43	2.039	47	3 5 0

Crystal structure
a = 10.172 Å, b = 12.759 Å, c = 6.296 Å
α = 90.00°, β = 90.00°, γ = 90.00°
Space group Cmc2_1 (No. 36)
Inequivalent atoms, fractional coordinates:
1 Mg 0.000 0.035 0.000 x4
2 Mg 0.000 0.269 0.119 x4
3 Mg 0.184 0.476 0.117 x8
4 Mg 0.244 0.305 0.445 x8
5 Sn 0.000 0.212 0.642 x4
6 Pd 0.000 0.408 0.413 x4
7 Pd 0.150 0.117 0.318 x8



This entry pairs a crystal structure of MgSn6Pd12 with its theoretical powder diffraction line list. Radiation: Cu Kα, 1.54184 Å. Structure: a structure optimized by DFT (GGA-PBE).
Lines closer than 0.1° are merged.

Peak list (10 most intense, 2θ = 10–90°, in order of rising 2θ)
2theta	d [Å]	Rel. int.	index
25.67	3.470	18	3 0 0
35.89	2.502	45	1 1 3
39.67	2.272	100	4 1 0
41.89	2.156	41	3 0 3
44.64	2.030	42	4 -2 3
56.84	1.620	12	3 3 3
65.46	1.426	21	2 5 3
72.00	1.312	13	3 6 0
77.41	1.233	14	7 1 3
81.84	1.177	22	4 1 6

Crystal structure
a = 12.0209 Å, b = 12.0209 Å, c = 8.2569 Å
α = 90.00°, β = 90.00°, γ = 120.00°
Space group R-3 (No. 148, hexagonal axes)
Inequivalent atoms, fractional coordinates:
1 Mg 0.0000 0.0000 0.0000 x3
2 Sn 0.0447 0.8321 0.7405 x18
3 Pd 0.0362 0.8027 0.0750 x18
4 Pd 0.0605 0.8225 0.4200 x18